# Ba2FeReO6
Computed XRD peak list, a wavelength of 1.5418 Å. Input: DFT lattice parameters and positions (GGA+U).
Peak positions follow from Bragg's law for the DFT cell and can differ from measured ones.

Atomic structure:
```
data_Ba2FeReO6
_chemical_formula_sum 'Ba4 Fe2 Re2 O12'
_symmetry_space_group_name_H-M 'I 4/m m m'
_symmetry_Int_Tables_number 139
_symmetry_space_group_name_Hall '-I 4 2'
_cell_length_a 5.862
_cell_length_b 5.862
_cell_length_c 8.118
_cell_angle_alpha 90.00
_cell_angle_beta 90.00
_cell_angle_gamma 90.00
loop_
_atom_site_label
_atom_site_type_symbol
_atom_site_fract_x
_atom_site_fract_y
_atom_site_fract_z
Ba1 Ba 0.000 0.500 0.250
Fe1 Fe 0.000 0.000 0.000
Re1 Re 0.000 0.000 0.500
O1 O 0.000 0.000 0.257
O2 O 0.234 0.234 0.500
```

Main lines, sorted by position (2θ = 10–90°):
| Position (°2θ) | intensity |
| --- | --- |
| 18.67 | 26.0 |
| 30.50 | 51.6 |
| 30.83 | 100.0 |
| 43.67 | 30.4 |
| 44.65 | 14.3 |
| 54.41 | 40.4 |
| 55.03 | 19.7 |
| 63.47 | 9.4 |
| 64.23 | 18.2 |
| 88.36 | 11.1 |
| 88.87 | 11.0 |
| 89.72 | 10.6 |